# 1
This entry pairs a crystal structure of Sm4B2Cl5 with its simulated PXRD pattern. Radiation: a wavelength of 1.5418 Å. Structure: a structure optimized by DFT (GGA-PBE).
Peak positions follow from Bragg's law for the DFT cell and can differ from measured ones.

Principal peaks in the range 10° ≤ 2θ ≤ 90°, sorted by position:
d 7.142, 12.4°, intensity 594, hkl 0 0 1; d 4.780, 18.6°, intensity 442, hkl 2 0 1; d 3.571, 24.9°, intensity 335, hkl 4 0 -2; d 3.287, 27.1°, intensity 459, hkl 3 1 0; d 3.261, 27.3°, intensity 386, hkl 3 1 -1; d 3.033, 29.5°, intensity 705, hkl 6 0 0; d 2.724, 32.9°, intensity 1000, hkl 1 1 -2; d 2.200, 41.0°, intensity 318, hkl 3 1 2; d 2.194, 41.1°, intensity 324, hkl 7 1 -2; d 1.957, 46.4°, intensity 277, hkl 0 2 0

Atomic structure:
Lattice parameters (Å, degrees): 19.7580 3.9112 7.7655 90.00 112.94 90.00
Space group C2/m (No. 12)
Inequivalent atoms, fractional coordinates:
Sm  0.0000  0.0000  0.2148 x4
Sm  0.1724  0.5000  0.1716 x4
B  0.0431  0.5000  0.0428 x4
Cl  0.0000  0.5000  0.5000 x2
Cl  0.1690  0.0000  0.4282 x4
Cl  0.1692  0.0000  0.9077 x4

# 2
This entry pairs a crystal structure of Co5B16 with its simulated PXRD pattern. Radiation: a wavelength of 1.5418 Å. Structure: a structure optimized by DFT (GGA-PBE).
Peak positions follow from Bragg's law for the DFT cell and can differ from measured ones.

Principal peaks in the range 10° ≤ 2θ ≤ 90°, sorted by position:
d 5.243, 16.9°, intensity 410, hkl 1 0 1; d 3.586, 24.8°, intensity 457, hkl 4 0 1; d 3.174, 28.1°, intensity 818, hkl 6 0 0; d 2.727, 32.8°, intensity 432, hkl 0 0 2; d 2.487, 36.1°, intensity 1000, hkl 2 1 1; d 2.266, 39.8°, intensity 573, hkl 4 1 1; d 2.068, 43.8°, intensity 301, hkl 6 0 2; d 2.000, 45.3°, intensity 319, hkl 6 1 1; d 1.983, 45.7°, intensity 348, hkl 1 1 2; d 1.798, 50.8°, intensity 320, hkl 10 0 1

Atomic structure:
Lattice parameters (Å, degrees): 19.0415 2.9237 5.4535 90.00 90.00 90.00
Space group Pmma (No. 51)
Inequivalent atoms, fractional coordinates:
Co  0.0000  0.0000  0.0000 x2
Co  0.1535  0.0000  0.4265 x4
Co  0.1835  0.5000  0.0468 x4
B  0.0089  0.5000  0.7068 x4
B  0.0685  0.0000  0.6938 x4
B  0.0713  0.5000  0.4929 x4
B  0.0769  0.5000  0.1774 x4
B  0.1049  0.0000  0.0160 x4
B  0.1616  0.0000  0.7877 x4
B  0.2028  0.5000  0.6673 x4
B  0.2500  0.0000  0.2143 x2
B  0.2500  0.5000  0.3894 x2

# 3
This entry pairs a crystal structure of CoB2 with its simulated PXRD pattern. Radiation: a wavelength of 1.5418 Å. Structure: a structure optimized by DFT (GGA-PBE).
Peak positions follow from Bragg's law for the DFT cell and can differ from measured ones.

Principal peaks in the range 10° ≤ 2θ ≤ 90°, sorted by position:
d 3.159, 28.3°, intensity 917, hkl 1 1 1; d 1.934, 47.0°, intensity 1000, hkl 2 2 0; d 1.650, 55.7°, intensity 772, hkl 3 1 1; d 1.579, 58.4°, intensity 16, hkl 2 2 2; d 1.368, 68.6°, intensity 88, hkl 4 0 0; d 1.255, 75.8°, intensity 150, hkl 3 3 1; d 1.117, 87.3°, intensity 291, hkl 4 2 2

Atomic structure:
Lattice parameters (Å, degrees): 5.4712 5.4712 5.4712 90.00 90.00 90.00
Space group Fd-3m (No. 227, origin choice 2)
Inequivalent atoms, fractional coordinates:
Co  0.1250  0.1250  0.1250 x8
B  0.0000  0.0000  0.5000 x16

# 4
This entry pairs a crystal structure of CoCuB4 with its simulated PXRD pattern. Radiation: a wavelength of 1.5418 Å. Structure: a structure optimized by DFT (GGA-PBE).
Peak positions follow from Bragg's law for the DFT cell and can differ from measured ones.

Principal peaks in the range 10° ≤ 2θ ≤ 90°, sorted by position:
d 3.215, 27.7°, intensity 295, hkl 0 0 2; d 2.574, 34.9°, intensity 672, hkl 1 0 0; d 2.009, 45.1°, intensity 1000, hkl 1 0 2; d 1.607, 57.3°, intensity 87, hkl 0 0 4; d 1.486, 62.5°, intensity 208, hkl 1 1 0; d 1.363, 68.9°, intensity 174, hkl 1 0 4; d 1.349, 69.7°, intensity 128, hkl 1 1 2; d 1.287, 73.6°, intensity 67, hkl 2 0 0; d 1.195, 80.4°, intensity 159, hkl 2 0 2; d 1.091, 89.9°, intensity 139, hkl 1 1 4

Atomic structure:
Lattice parameters (Å, degrees): 2.9724 2.9724 6.4299 90.00 90.00 120.00
Space group P6/mmm (No. 191)
Inequivalent atoms, fractional coordinates:
Co  0.0000  0.0000  0.0000 x1
Cu  0.0000  0.0000  0.5000 x1
B  0.3333  0.6667  0.2257 x4

# 5
This entry pairs a crystal structure of ScCoCuB with its simulated PXRD pattern. Radiation: a wavelength of 1.5418 Å. Structure: a structure optimized by DFT (GGA-PBE).
Peak positions follow from Bragg's law for the DFT cell and can differ from measured ones.

Principal peaks in the range 10° ≤ 2θ ≤ 90°, sorted by position:
d 3.327, 26.8°, intensity 320, hkl 1 1 1; d 2.881, 31.0°, intensity 37, hkl 2 0 0; d 2.038, 44.5°, intensity 1000, hkl 2 2 0; d 1.738, 52.7°, intensity 149, hkl 3 1 1; d 1.664, 55.2°, intensity 8, hkl 2 2 2; d 1.441, 64.7°, intensity 147, hkl 4 0 0; d 1.322, 71.3°, intensity 55, hkl 3 3 1; d 1.289, 73.5°, intensity 10, hkl 4 2 0; d 1.176, 81.9°, intensity 287, hkl 4 2 2; d 1.109, 88.1°, intensity 40, hkl 5 1 1

Atomic structure:
Lattice parameters (Å, degrees): 5.7630 5.7630 5.7630 90.00 90.00 90.00
Space group F-43m (No. 216)
Inequivalent atoms, fractional coordinates:
Sc  0.0000  0.0000  0.0000 x4
Co  0.0000  0.0000  0.5000 x4
Cu  0.2500  0.2500  0.2500 x4
B  0.2500  0.2500  0.7500 x4

# 6
This entry pairs a crystal structure of Dy4CoB13 with its simulated PXRD pattern. Radiation: a wavelength of 1.5418 Å. Structure: a structure optimized by DFT (GGA-PBE).
Peak positions follow from Bragg's law for the DFT cell and can differ from measured ones.

Principal peaks in the range 10° ≤ 2θ ≤ 90°, sorted by position:
d 3.649, 24.4°, intensity 392, hkl 2 0 0; d 3.451, 25.8°, intensity 590, hkl 0 0 2; d 3.264, 27.3°, intensity 956, hkl 2 1 0; d 2.508, 35.8°, intensity 401, hkl 2 0 2; d 2.372, 37.9°, intensity 1000, hkl 2 1 2; d 2.067, 43.8°, intensity 221, hkl 2 2 2; d 1.919, 47.4°, intensity 279, hkl 3 1 2; d 1.770, 51.6°, intensity 375, hkl 4 1 0; d 1.575, 58.6°, intensity 400, hkl 4 1 2; d 1.236, 77.2°, intensity 229, hkl 4 1 4

Atomic structure:
Lattice parameters (Å, degrees): 7.2987 7.2987 6.9028 90.00 90.00 90.00
Space group P4/mnc (No. 128)
Inequivalent atoms, fractional coordinates:
Dy  0.1812  0.3156  0.0000 x8
Co  0.0000  0.0000  0.5000 x2
B  0.0000  0.0000  0.0000 x2
B  0.0393  0.8303  0.2456 x16
B  0.0908  0.5908  0.2500 x8

# 7
This entry pairs a crystal structure of Dy3Co11B4 with its simulated PXRD pattern. Radiation: a wavelength of 1.5418 Å. Structure: a structure optimized by DFT (GGA-PBE).
Peak positions follow from Bragg's law for the DFT cell and can differ from measured ones.

Principal peaks in the range 10° ≤ 2θ ≤ 90°, sorted by position:
d 4.349, 20.4°, intensity 250, hkl 1 0 0; d 2.603, 34.5°, intensity 1000, hkl 1 0 3; d 2.511, 35.8°, intensity 293, hkl 1 1 0; d 2.174, 41.5°, intensity 880, hkl 2 0 0; d 1.987, 45.7°, intensity 926, hkl 1 1 3; d 1.467, 63.4°, intensity 340, hkl 2 1 3; d 1.364, 68.8°, intensity 150, hkl 1 1 6; d 1.324, 71.2°, intensity 228, hkl 3 0 3; d 1.302, 72.6°, intensity 155, hkl 2 0 6; d 1.255, 75.8°, intensity 211, hkl 2 2 0

Atomic structure:
Lattice parameters (Å, degrees): 5.0216 5.0216 9.7484 90.00 90.00 120.00
Space group P6/mmm (No. 191)
Inequivalent atoms, fractional coordinates:
Dy  0.0000  0.0000  0.0000 x1
Dy  0.0000  0.0000  0.3415 x2
Co  0.0000  0.5000  0.2021 x6
Co  0.0000  0.5000  0.5000 x3
Co  0.3333  0.6667  0.0000 x2
B  0.3333  0.6667  0.3492 x4

# 8
This entry pairs a crystal structure of Dy2ErCo2B2N3 with its simulated PXRD pattern. Radiation: a wavelength of 1.5418 Å. Structure: a structure optimized by DFT (GGA-PBE).
Peak positions follow from Bragg's law for the DFT cell and can differ from measured ones.

Principal peaks in the range 10° ≤ 2θ ≤ 90°, sorted by position:
d 3.065, 29.1°, intensity 1000, hkl 1 0 3; d 2.605, 34.4°, intensity 813, hkl 1 0 5; d 2.473, 36.3°, intensity 487, hkl 0 0 8; d 2.447, 36.7°, intensity 411, hkl 1 1 0; d 2.376, 37.9°, intensity 389, hkl 1 1 2; d 2.193, 41.2°, intensity 298, hkl 1 1 4; d 1.730, 52.9°, intensity 355, hkl 2 0 0; d 1.507, 61.5°, intensity 263, hkl 2 1 3; d 1.441, 64.7°, intensity 273, hkl 2 1 5; d 1.418, 65.9°, intensity 328, hkl 2 0 8

Atomic structure:
Lattice parameters (Å, degrees): 3.4609 3.4609 19.7845 90.00 90.00 90.00
Space group I4/mmm (No. 139)
Inequivalent atoms, fractional coordinates:
Dy  0.0000  0.0000  0.1236 x4
Er  0.0000  0.0000  0.5000 x2
Co  0.0000  0.5000  0.2500 x4
B  0.0000  0.0000  0.3068 x4
N  0.0000  0.0000  0.0000 x2
N  0.0000  0.0000  0.3831 x4

Copy entry 6 word for word.
This entry pairs a crystal structure of Dy4CoB13 with its simulated PXRD pattern. Radiation: a wavelength of 1.5418 Å. Structure: a structure optimized by DFT (GGA-PBE).
Peak positions follow from Bragg's law for the DFT cell and can differ from measured ones.

Principal peaks in the range 10° ≤ 2θ ≤ 90°, sorted by position:
d 3.649, 24.4°, intensity 392, hkl 2 0 0; d 3.451, 25.8°, intensity 590, hkl 0 0 2; d 3.264, 27.3°, intensity 956, hkl 2 1 0; d 2.508, 35.8°, intensity 401, hkl 2 0 2; d 2.372, 37.9°, intensity 1000, hkl 2 1 2; d 2.067, 43.8°, intensity 221, hkl 2 2 2; d 1.919, 47.4°, intensity 279, hkl 3 1 2; d 1.770, 51.6°, intensity 375, hkl 4 1 0; d 1.575, 58.6°, intensity 400, hkl 4 1 2; d 1.236, 77.2°, intensity 229, hkl 4 1 4

Atomic structure:
Lattice parameters (Å, degrees): 7.2987 7.2987 6.9028 90.00 90.00 90.00
Space group P4/mnc (No. 128)
Inequivalent atoms, fractional coordinates:
Dy  0.1812  0.3156  0.0000 x8
Co  0.0000  0.0000  0.5000 x2
B  0.0000  0.0000  0.0000 x2
B  0.0393  0.8303  0.2456 x16
B  0.0908  0.5908  0.2500 x8